(1)
This entry pairs a crystal structure of LaSc2In2Ag2 with its computed powder XRD pattern. Radiation: copper Kα. Structure: a cell relaxed with GGA-PBE.

Most intense lines, 5 to 70 degrees two-theta, by angle:
- 20.58°, intensity 13
- 25.54°, intensity 52
- 32.46°, intensity 74
- 35.20°, intensity 12
- 37.64°, intensity 100
- 41.12°, intensity 17
- 43.27°, intensity 11
- 49.59°, intensity 16
- 50.53°, intensity 20
- 61.53°, intensity 17
- 64.69°, intensity 19
- 67.93°, intensity 17

Crystal structure
Cell lengths 9.0611, 9.0611, 9.0611 Å; angles 30.59, 30.59, 30.59 degrees
Element x y z (fractional)
La 0.0000 0.0000 0.0000
Sc 0.1360 0.1360 0.1360
Sc 0.8640 0.8640 0.8640
In 0.2559 0.2559 0.2559
In 0.7441 0.7441 0.7441
Ag 0.4402 0.4402 0.4402
Ag 0.5598 0.5598 0.5598

(2)
This entry pairs a crystal structure of Ti3InSn with its computed powder XRD pattern. Radiation: copper Kα. Structure: a cell relaxed with GGA-PBE.

Most intense lines, 5 to 70 degrees two-theta, by angle:
- 27.02°, intensity 27
- 27.91°, intensity 75
- 28.83°, intensity 58
- 29.09°, intensity 25
- 35.53°, intensity 65
- 36.65°, intensity 36
- 37.60°, intensity 65
- 39.00°, intensity 100
- 40.15°, intensity 32
- 44.61°, intensity 29
- 53.52°, intensity 24
- 59.73°, intensity 25

Crystal structure
Cell lengths 7.0486, 7.0486, 7.0486 Å; angles 140.32, 91.84, 101.43 degrees
Element x y z (fractional)
Ti 0.2172 0.1497 0.0675
Ti 0.3953 0.6453 0.7500
Ti 0.4178 0.8503 0.5675
Ti 0.5822 0.1497 0.4325
Ti 0.6047 0.3547 0.2500
Ti 0.7828 0.8503 0.9325
In 0.1267 0.8767 0.2500
In 0.8733 0.1233 0.7500
Sn 0.0000 0.5000 0.5000
Sn 0.5000 0.5000 0.0000

(3)
This entry pairs a crystal structure of Mg2Cd3Hg8 with its computed powder XRD pattern. Radiation: copper Kα. Structure: a cell relaxed with GGA-PBE.

Most intense lines, 5 to 70 degrees two-theta, by angle:
- 26.78°, intensity 19
- 29.89°, intensity 39
- 30.59°, intensity 38
- 33.59°, intensity 71
- 34.04°, intensity 100
- 38.07°, intensity 73
- 38.18°, intensity 36
- 39.86°, intensity 35
- 51.77°, intensity 24
- 57.58°, intensity 18
- 61.60°, intensity 24
- 63.14°, intensity 23

Crystal structure
Cell lengths 7.0722, 3.5320, 12.8297 Å; angles 90.00, 101.56, 90.00 degrees
Element x y z (fractional)
Mg 0.2120 0.0000 0.2056
Mg 0.7880 0.0000 0.7944
Cd 0.0000 0.0000 0.5000
Cd 0.1134 0.5000 0.7381
Cd 0.8866 0.5000 0.2619
Hg 0.1726 0.0000 0.9458
Hg 0.2840 0.5000 0.4112
Hg 0.3916 0.0000 0.6441
Hg 0.4724 0.5000 0.1193
Hg 0.5276 0.5000 0.8807
Hg 0.6084 0.0000 0.3559
Hg 0.7160 0.5000 0.5888
Hg 0.8274 0.0000 0.0542

(4)
This entry pairs a crystal structure of Pm2SiPbO6 with its computed powder XRD pattern. Radiation: copper Kα. Structure: a cell relaxed with GGA-PBE.

Most intense lines, 5 to 70 degrees two-theta, by angle:
- 16.39°, intensity 18
- 16.77°, intensity 9
- 23.53°, intensity 15
- 28.81°, intensity 100
- 33.13°, intensity 34
- 33.92°, intensity 11
- 37.89°, intensity 10
- 47.56°, intensity 18
- 48.14°, intensity 27
- 56.56°, intensity 31
- 57.59°, intensity 10
- 59.69°, intensity 10

Crystal structure
Cell lengths 5.4081, 5.4081, 5.2863 Å; angles 90.00, 90.00, 90.00 degrees
Element x y z (fractional)
Pm 0.0000 0.5000 0.0000
Pm 0.5000 0.0000 0.0000
Si 0.0000 0.0000 0.6369
Pb 0.5000 0.5000 0.5460
O 0.0000 0.0000 0.3208
O 0.2176 0.2176 0.7521
O 0.2176 0.7824 0.7521
O 0.5000 0.5000 0.0932
O 0.7824 0.2176 0.7521
O 0.7824 0.7824 0.7521

(5)
This entry pairs a crystal structure of NdHo5Mg6 with its computed powder XRD pattern. Radiation: copper Kα. Structure: a cell relaxed with GGA-PBE.

Most intense lines, 5 to 70 degrees two-theta, by angle:
- 23.45°, intensity 63
- 33.41°, intensity 100
- 41.23°, intensity 20
- 47.93°, intensity 12
- 48.06°, intensity 6
- 54.03°, intensity 18
- 54.14°, intensity 9
- 59.70°, intensity 31
- 59.79°, intensity 6

Crystal structure
Cell lengths 8.4924, 8.4924, 7.5724 Å; angles 90.00, 90.00, 143.17 degrees
Element x y z (fractional)
Nd 0.0000 0.0000 0.0000
Ho 0.0000 0.0000 0.5000
Ho 0.3317 0.6683 0.0000
Ho 0.3346 0.6654 0.5000
Ho 0.6654 0.3346 0.5000
Ho 0.6683 0.3317 0.0000
Mg 0.1682 0.8318 0.2526
Mg 0.1682 0.8318 0.7474
Mg 0.5000 0.5000 0.2526
Mg 0.5000 0.5000 0.7474
Mg 0.8318 0.1682 0.2526
Mg 0.8318 0.1682 0.7474

(6)
This entry pairs a crystal structure of AlCrH with its computed powder XRD pattern. Radiation: copper Kα. Structure: a cell relaxed with GGA-PBE.

Most intense lines, 5 to 70 degrees two-theta, by angle:
- 19.40°, intensity 43
- 37.52°, intensity 36
- 37.79°, intensity 17
- 39.38°, intensity 23
- 40.43°, intensity 64
- 42.67°, intensity 78
- 42.97°, intensity 100
- 44.21°, intensity 42
- 44.79°, intensity 30
- 56.09°, intensity 20
- 58.19°, intensity 11
- 66.44°, intensity 14

Crystal structure
Cell lengths 4.4624, 2.8143, 4.5766 Å; angles 90.00, 90.87, 90.00 degrees
Element x y z (fractional)
Al 0.2454 0.2500 0.0748
Al 0.7546 0.7500 0.9252
Cr 0.2286 0.7500 0.5797
Cr 0.7714 0.2500 0.4203
H 0.4486 0.2500 0.6576
H 0.5514 0.7500 0.3424

(7)
This entry pairs a crystal structure of Ag2Hg3P4Br3 with its computed powder XRD pattern. Radiation: copper Kα. Structure: a cell relaxed with GGA-PBE.

Most intense lines, 5 to 70 degrees two-theta, by angle:
- 21.89°, intensity 22
- 22.07°, intensity 25
- 25.71°, intensity 24
- 27.48°, intensity 48
- 28.12°, intensity 33
- 30.82°, intensity 22
- 31.65°, intensity 100
- 32.60°, intensity 45
- 33.23°, intensity 45
- 33.77°, intensity 28
- 48.14°, intensity 25
- 49.78°, intensity 39

Crystal structure
Cell lengths 8.2980, 8.2980, 8.9677 Å; angles 100.63, 100.63, 82.82 degrees
Element x y z (fractional)
Ag 0.1475 0.1475 0.3041
Ag 0.5035 0.0035 0.5099
Ag 0.8525 0.8525 0.6959
Ag 0.9965 0.4965 0.4901
Hg 0.2481 0.2513 0.8915
Hg 0.2675 0.6389 0.2308
Hg 0.3611 0.7325 0.7692
Hg 0.6329 0.2697 0.2321
Hg 0.7303 0.3671 0.7679
Hg 0.7487 0.7519 0.1085
P 0.0598 0.0629 0.7165
P 0.0802 0.7535 0.4191
P 0.2465 0.9198 0.5809
P 0.4363 0.4392 0.0671
P 0.5608 0.5637 0.9329
P 0.7505 0.0828 0.4197
P 0.9172 0.2495 0.5803
P 0.9371 0.9402 0.2835
Br 0.0429 0.6336 0.8648
Br 0.3495 0.3510 0.5238
Br 0.3664 0.9571 0.1352
Br 0.6307 0.0459 0.8627
Br 0.6490 0.6505 0.4762
Br 0.9541 0.3693 0.1373

(8)
This entry pairs a crystal structure of CeZr4O10 with its computed powder XRD pattern. Radiation: copper Kα. Structure: a cell relaxed with GGA-PBE.

Most intense lines, 5 to 70 degrees two-theta, by angle:
- 6.76°, intensity 3
- 24.42°, intensity 1
- 26.29°, intensity 2
- 29.69°, intensity 100
- 34.32°, intensity 8
- 34.46°, intensity 15
- 44.51°, intensity 1
- 49.42°, intensity 39
- 49.53°, intensity 20
- 58.63°, intensity 14
- 58.82°, intensity 28
- 61.64°, intensity 7

Crystal structure
Cell lengths 13.3228, 13.3228, 13.3228 Å; angles 164.12, 164.12, 22.53 degrees
Element x y z (fractional)
Ce 0.0000 0.0000 0.0000
Zr 0.2009 0.2009 0.0000
Zr 0.3972 0.3972 0.0000
Zr 0.6028 0.6028 0.0000
Zr 0.7991 0.7991 0.0000
O 0.0540 0.5540 0.5000
O 0.1519 0.6519 0.5000
O 0.2500 0.7500 0.5000
O 0.3481 0.8481 0.5000
O 0.4460 0.9460 0.5000
O 0.5540 0.0540 0.5000
O 0.6519 0.1519 0.5000
O 0.7500 0.2500 0.5000
O 0.8481 0.3481 0.5000
O 0.9460 0.4460 0.5000

(9)
This entry pairs a crystal structure of Sr6NiAu2 with its computed powder XRD pattern. Radiation: copper Kα. Structure: a cell relaxed with GGA-PBE.

Most intense lines, 5 to 70 degrees two-theta, by angle:
- 12.32°, intensity 26
- 13.98°, intensity 51
- 24.63°, intensity 16
- 26.39°, intensity 100
- 34.23°, intensity 82
- 40.85°, intensity 47
- 41.70°, intensity 10
- 44.63°, intensity 22
- 49.29°, intensity 18
- 54.31°, intensity 25
- 65.88°, intensity 15
- 67.15°, intensity 20

Crystal structure
Cell lengths 8.4364, 8.4364, 8.4364 Å; angles 53.94, 53.94, 53.94 degrees
Element x y z (fractional)
Sr 0.0826 0.4004 0.7606
Sr 0.2394 0.9174 0.5996
Sr 0.4004 0.7606 0.0826
Sr 0.5996 0.2394 0.9174
Sr 0.7606 0.0826 0.4004
Sr 0.9174 0.5996 0.2394
Ni 0.0000 0.0000 0.0000
Au 0.1715 0.1715 0.1715
Au 0.8285 0.8285 0.8285

(10)
This entry pairs a crystal structure of K3Cd2Pt2 with its computed powder XRD pattern. Radiation: copper Kα. Structure: a cell relaxed with GGA-PBE.

Most intense lines, 5 to 70 degrees two-theta, by angle:
- 12.27°, intensity 46
- 13.59°, intensity 100
- 17.74°, intensity 82
- 18.35°, intensity 53
- 19.15°, intensity 42
- 32.06°, intensity 29
- 34.39°, intensity 25
- 34.65°, intensity 99
- 35.38°, intensity 25
- 42.36°, intensity 34
- 44.65°, intensity 42
- 46.96°, intensity 24

Crystal structure
Cell lengths 6.5136, 9.2707, 14.4217 Å; angles 90.00, 90.00, 90.00 degrees
Element x y z (fractional)
K 0.1283 0.1181 0.0970
K 0.1283 0.1181 0.4030
K 0.1283 0.3819 0.5970
K 0.1283 0.3819 0.9030
K 0.3405 0.7181 0.7500
K 0.3405 0.7819 0.2500
K 0.6595 0.2181 0.7500
K 0.6595 0.2819 0.2500
K 0.8717 0.6181 0.0970
K 0.8717 0.6181 0.4030
K 0.8717 0.8819 0.5970
K 0.8717 0.8819 0.9030
Cd 0.2187 0.0631 0.7500
Cd 0.2187 0.4369 0.2500
Cd 0.4103 0.7500 0.0000
Cd 0.4103 0.7500 0.5000
Cd 0.5897 0.2500 0.0000
Cd 0.5897 0.2500 0.5000
Cd 0.7813 0.5631 0.7500
Cd 0.7813 0.9369 0.2500
Pt 0.3811 0.0193 0.5791
Pt 0.3811 0.0193 0.9209
Pt 0.3811 0.4807 0.0791
Pt 0.3811 0.4807 0.4209
Pt 0.6189 0.5193 0.5791
Pt 0.6189 0.5193 0.9209
Pt 0.6189 0.9807 0.0791
Pt 0.6189 0.9807 0.4209

(11)
This entry pairs a crystal structure of Cu5BiPd6 with its computed powder XRD pattern. Radiation: copper Kα. Structure: a cell relaxed with GGA-PBE.

Most intense lines, 5 to 70 degrees two-theta, by angle:
- 14.38°, intensity 2
- 19.17°, intensity 3
- 22.82°, intensity 3
- 26.15°, intensity 5
- 33.39°, intensity 4
- 34.38°, intensity 2
- 40.30°, intensity 100
- 44.09°, intensity 39
- 52.11°, intensity 11
- 59.92°, intensity 2
- 64.06°, intensity 6
- 64.18°, intensity 6

Crystal structure
Cell lengths 4.1087, 7.0200, 6.4968 Å; angles 90.00, 108.53, 90.00 degrees
Element x y z (fractional)
Cu 0.0000 0.0000 0.0000
Cu 0.3216 0.5000 0.6428
Cu 0.3322 0.0000 0.6651
Cu 0.6678 0.0000 0.3349
Cu 0.6784 0.5000 0.3572
Bi 0.0000 0.5000 0.0000
Pd 0.1696 0.2384 0.3387
Pd 0.1696 0.7616 0.3387
Pd 0.5000 0.2331 0.0000
Pd 0.5000 0.7669 0.0000
Pd 0.8304 0.2384 0.6613
Pd 0.8304 0.7616 0.6613

(12)
This entry pairs a crystal structure of Ta2NbTeI7 with its computed powder XRD pattern. Radiation: copper Kα. Structure: a cell relaxed with GGA-PBE.

Most intense lines, 5 to 70 degrees two-theta, by angle:
- 11.88°, intensity 82
- 13.29°, intensity 22
- 27.43°, intensity 27
- 29.37°, intensity 100
- 32.36°, intensity 64
- 36.17°, intensity 31
- 38.70°, intensity 15
- 40.62°, intensity 38
- 45.56°, intensity 23
- 47.25°, intensity 40
- 53.62°, intensity 15
- 56.61°, intensity 19

Crystal structure
Cell lengths 7.6950, 7.6950, 14.8974 Å; angles 90.09, 90.09, 59.99 degrees
Element x y z (fractional)
Ta 0.0000 0.0000 0.0000
Ta 0.0000 0.3923 0.0000
Ta 0.2627 0.2627 0.5008
Ta 0.3923 0.0000 0.0000
Nb 0.2622 0.8670 0.5000
Nb 0.8670 0.2622 0.5000
Te 0.1310 0.1310 0.1419
Te 0.1313 0.1313 0.6410
I 0.1264 0.6307 0.6028
I 0.1341 0.6294 0.1016
I 0.2979 0.2979 0.8746
I 0.2980 0.7957 0.8746
I 0.4634 0.4634 0.4023
I 0.4668 0.9651 0.3756
I 0.6294 0.1341 0.1016
I 0.6294 0.6294 0.1016
I 0.6307 0.1264 0.6028
I 0.6311 0.6311 0.6044
I 0.7957 0.2980 0.8746
I 0.7972 0.7972 0.9026
I 0.9634 0.9634 0.3742
I 0.9651 0.4668 0.3756

Q: What is the formula in the eleventh record?
A: Cu5BiPd6